Entry 1:
Simulated X-ray diffraction stick pattern
Compound: Cs2NiO2
Radiation: Cu Kα (weighted mean of Kα1 and Kα2)
Structure: a crystal structure in the Materials Project, relaxed with PBE+U
Lines closer than 0.1° are merged.

Peak list (10 most intense, 10 to 90 degrees two-theta, in order of rising 2θ)
Position (°2θ), d/Å, I/Imax
27.9, 3.195, 100.0
28.1, 3.178, 75.4
38.7, 2.324, 12.9
40.1, 2.247, 27.8
49.3, 1.848, 20.5
49.6, 1.838, 40.7
57.7, 1.598, 12.7
65.7, 1.422, 21.1
79.6, 1.205, 10.0
79.8, 1.202, 10.4

Structural model:
Cell lengths 7.5199, 7.5199, 7.5199 Å; angles 145.22, 145.22, 50.01 degrees
Fractional positions:
Cs (0.1533, 0.1533, 0.0000)
Cs (0.8467, 0.8467, 0.0000)
Ni (0.5000, 0.5000, 0.0000)
O (0.3737, 0.3737, 0.0000)
O (0.6263, 0.6263, 0.0000)


Entry 2:
Simulated X-ray diffraction stick pattern
Compound: CsNiO2
Radiation: Cu Kα (weighted mean of Kα1 and Kα2)
Structure: a crystal structure in the Materials Project, relaxed with PBE+U
Lines closer than 0.1° are merged.

Peak list (10 most intense, 10 to 90 degrees two-theta, in order of rising 2θ)
Position (°2θ), d/Å, I/Imax
18.0, 4.920, 4.1
29.7, 3.013, 100.0
34.9, 2.569, 13.0
42.4, 2.130, 12.9
52.6, 1.739, 38.5
56.1, 1.640, 4.2
61.6, 1.506, 15.4
69.8, 1.347, 16.2
77.6, 1.230, 3.1
85.2, 1.139, 19.0

Structural model:
Cell lengths 6.0253, 6.0253, 6.0253 Å; angles 60.00, 60.00, 60.00 degrees
Fractional positions:
Cs (0.1250, 0.1250, 0.1250)
Cs (0.8750, 0.8750, 0.8750)
Ni (0.3750, 0.3750, 0.3750)
Ni (0.6250, 0.6250, 0.6250)
O (0.0000, 0.5000, 0.5000)
O (0.5000, 0.0000, 0.5000)
O (0.5000, 0.5000, 0.0000)
O (0.5000, 0.5000, 0.5000)


Entry 3:
Simulated X-ray diffraction stick pattern
Compound: Cs2VP2O8
Radiation: Cu Kα (weighted mean of Kα1 and Kα2)
Structure: a crystal structure in the Materials Project, relaxed with PBE+U
Lines closer than 0.1° are merged.

Peak list (10 most intense, 10 to 90 degrees two-theta, in order of rising 2θ)
Position (°2θ), d/Å, I/Imax
23.0, 3.874, 83.2
24.1, 3.686, 21.1
24.8, 3.592, 100.0
25.6, 3.476, 28.9
27.7, 3.215, 22.1
29.0, 3.074, 56.5
30.5, 2.930, 19.9
30.7, 2.912, 37.7
39.9, 2.261, 24.0
47.0, 1.935, 23.7

Structural model:
Cell lengths 13.6381, 7.3729, 9.6603 Å; angles 90.00, 90.00, 90.00 degrees
Fractional positions:
Cs (0.0915, 0.2500, 0.1298)
Cs (0.0983, 0.7500, 0.4180)
Cs (0.4017, 0.2500, 0.9180)
Cs (0.4085, 0.7500, 0.6298)
Cs (0.5915, 0.2500, 0.3702)
Cs (0.5983, 0.7500, 0.0820)
Cs (0.9017, 0.2500, 0.5820)
Cs (0.9085, 0.7500, 0.8702)
V (0.2115, 0.7500, 0.9851)
V (0.2885, 0.2500, 0.4851)
V (0.7115, 0.7500, 0.5149)
V (0.7885, 0.2500, 0.0149)
P (0.1591, 0.0480, 0.7319)
P (0.1591, 0.4520, 0.7319)
P (0.3409, 0.5480, 0.2319)
P (0.3409, 0.9520, 0.2319)
P (0.6591, 0.0480, 0.7681)
P (0.6591, 0.4520, 0.7681)
P (0.8409, 0.5480, 0.2681)
P (0.8409, 0.9520, 0.2681)
O (0.0546, 0.5100, 0.7113)
O (0.0546, 0.9900, 0.7113)
O (0.0989, 0.7500, 0.0450)
O (0.1633, 0.2500, 0.8037)
O (0.2165, 0.0632, 0.5934)
O (0.2165, 0.4368, 0.5934)
O (0.2210, 0.5650, 0.8337)
O (0.2210, 0.9350, 0.8337)
O (0.2790, 0.0650, 0.3337)
O (0.2790, 0.4350, 0.3337)
O (0.2835, 0.5632, 0.0934)
O (0.2835, 0.9368, 0.0934)
O (0.3367, 0.7500, 0.3037)
O (0.4011, 0.2500, 0.5450)
O (0.4454, 0.0100, 0.2113)
O (0.4454, 0.4900, 0.2113)
O (0.5546, 0.5100, 0.7887)
O (0.5546, 0.9900, 0.7887)
O (0.5989, 0.7500, 0.4550)
O (0.6633, 0.2500, 0.6963)
O (0.7165, 0.0632, 0.9066)
O (0.7165, 0.4368, 0.9066)
O (0.7210, 0.5650, 0.6663)
O (0.7210, 0.9350, 0.6663)
O (0.7790, 0.0650, 0.1663)
O (0.7790, 0.4350, 0.1663)
O (0.7835, 0.5632, 0.4066)
O (0.7835, 0.9368, 0.4066)
O (0.8367, 0.7500, 0.1963)
O (0.9011, 0.2500, 0.9550)
O (0.9454, 0.0100, 0.2887)
O (0.9454, 0.4900, 0.2887)


Entry 4:
Simulated X-ray diffraction stick pattern
Compound: CsVPO5
Radiation: Cu Kα (weighted mean of Kα1 and Kα2)
Structure: a crystal structure in the Materials Project, relaxed with PBE+U
Lines closer than 0.1° are merged.

Peak list (10 most intense, 10 to 90 degrees two-theta, in order of rising 2θ)
Position (°2θ), d/Å, I/Imax
21.2, 4.189, 36.8
21.4, 4.149, 74.8
24.3, 3.665, 98.3
24.5, 3.637, 94.8
25.2, 3.537, 36.9
27.2, 3.279, 61.5
27.7, 3.222, 100.0
31.7, 2.826, 50.2
37.6, 2.394, 43.3
51.7, 1.769, 42.4

Structural model:
Cell lengths 7.5705, 7.8194, 9.9204 Å; angles 90.00, 90.00, 90.00 degrees
Fractional positions:
Cs (0.1291, 0.1342, 0.3374)
Cs (0.3709, 0.8658, 0.8374)
Cs (0.6291, 0.3658, 0.6626)
Cs (0.8709, 0.6342, 0.1626)
V (0.1129, 0.5733, 0.5423)
V (0.3871, 0.4267, 0.0423)
V (0.6129, 0.9267, 0.4577)
V (0.8871, 0.0733, 0.9577)
P (0.1578, 0.3698, 0.8462)
P (0.3422, 0.6302, 0.3462)
P (0.6578, 0.1302, 0.1538)
P (0.8422, 0.8698, 0.6538)
O (0.0128, 0.7619, 0.6555)
O (0.0511, 0.9606, 0.0209)
O (0.1590, 0.5099, 0.9601)
O (0.1773, 0.7388, 0.3918)
O (0.1908, 0.4498, 0.7071)
O (0.3092, 0.5502, 0.2071)
O (0.3227, 0.2612, 0.8918)
O (0.3410, 0.4901, 0.4601)
O (0.4489, 0.0394, 0.5209)
O (0.4872, 0.2381, 0.1555)
O (0.5128, 0.7381, 0.3445)
O (0.5511, 0.5394, 0.9791)
O (0.6590, 0.9901, 0.0399)
O (0.6773, 0.7612, 0.6082)
O (0.6908, 0.0502, 0.2929)
O (0.8092, 0.9498, 0.7929)
O (0.8227, 0.2388, 0.1082)
O (0.8410, 0.0099, 0.5399)
O (0.9489, 0.4606, 0.4791)
O (0.9872, 0.2619, 0.8445)


Entry 5:
Simulated X-ray diffraction stick pattern
Compound: CsVZnP6O18
Radiation: Cu Kα (weighted mean of Kα1 and Kα2)
Structure: a crystal structure in the Materials Project, relaxed with PBE+U
Lines closer than 0.1° are merged.

Peak list (10 most intense, 10 to 90 degrees two-theta, in order of rising 2θ)
Position (°2θ), d/Å, I/Imax
11.3, 7.862, 46.4
18.4, 4.830, 55.9
18.6, 4.765, 85.2
21.4, 4.143, 78.0
22.6, 3.932, 40.2
22.8, 3.897, 60.8
24.3, 3.661, 89.4
28.5, 3.132, 90.9
30.2, 2.964, 65.3
32.3, 2.773, 100.0

Structural model:
Cell lengths 6.4397, 8.5766, 15.9806 Å; angles 99.97, 91.04, 103.82 degrees
Fractional positions:
Cs (0.0000, 0.0000, 0.0000)
Cs (0.4998, 0.4994, 0.5001)
V (0.3207, 0.6802, 0.8625)
V (0.8206, 0.1804, 0.3624)
Zn (0.0460, 0.8506, 0.5856)
Zn (0.5461, 0.3504, 0.0855)
P (0.0288, 0.5299, 0.6783)
P (0.0719, 0.4362, 0.1167)
P (0.2860, 0.0836, 0.3319)
P (0.3254, 0.9941, 0.7694)
P (0.4185, 0.6950, 0.0664)
P (0.4373, 0.3284, 0.8813)
P (0.5292, 0.0301, 0.1782)
P (0.5716, 0.9361, 0.6163)
P (0.7860, 0.5841, 0.8320)
P (0.8248, 0.4939, 0.2696)
P (0.9185, 0.1950, 0.5662)
P (0.9368, 0.8285, 0.3813)
O (0.0049, 0.3375, 0.6480)
O (0.0104, 0.6051, 0.6021)
O (0.0338, 0.4912, 0.2163)
O (0.0694, 0.0867, 0.5590)
O (0.1208, 0.9307, 0.7159)
O (0.1355, 0.1948, 0.3414)
O (0.1776, 0.9109, 0.3571)
O (0.1854, 0.6138, 0.0946)
O (0.2252, 0.3291, 0.1111)
O (0.2288, 0.5898, 0.7375)
O (0.2992, 0.4482, 0.8817)
O (0.3185, 0.0316, 0.2323)
O (0.3500, 0.9169, 0.8463)
O (0.3545, 0.1882, 0.7992)
O (0.3646, 0.8700, 0.5639)
O (0.3807, 0.7704, 0.9900)
O (0.4491, 0.2514, 0.9573)
O (0.4995, 0.1526, 0.3807)
O (0.5062, 0.8378, 0.1480)
O (0.5105, 0.1050, 0.1020)
O (0.5339, 0.9914, 0.7159)
O (0.5693, 0.5865, 0.0590)
O (0.6205, 0.4305, 0.2158)
O (0.6350, 0.6949, 0.8413)
O (0.6784, 0.4116, 0.8575)
O (0.6850, 0.1133, 0.5938)
O (0.7250, 0.8289, 0.6109)
O (0.7292, 0.0906, 0.2374)
O (0.7994, 0.9488, 0.3817)
O (0.8181, 0.5317, 0.7324)
O (0.8488, 0.4166, 0.3465)
O (0.8531, 0.6880, 0.2993)
O (0.8650, 0.3705, 0.0641)
O (0.8823, 0.2712, 0.4898)
O (0.9485, 0.7516, 0.4573)
O (0.9991, 0.6545, 0.8808)


What did the fourth record say?
Simulated X-ray diffraction stick pattern
Compound: CsVPO5
Radiation: Cu Kα (weighted mean of Kα1 and Kα2)
Structure: a crystal structure in the Materials Project, relaxed with PBE+U
Lines closer than 0.1° are merged.

Peak list (10 most intense, 10 to 90 degrees two-theta, in order of rising 2θ)
Position (°2θ), d/Å, I/Imax
21.2, 4.189, 36.8
21.4, 4.149, 74.8
24.3, 3.665, 98.3
24.5, 3.637, 94.8
25.2, 3.537, 36.9
27.2, 3.279, 61.5
27.7, 3.222, 100.0
31.7, 2.826, 50.2
37.6, 2.394, 43.3
51.7, 1.769, 42.4

Structural model:
Cell lengths 7.5705, 7.8194, 9.9204 Å; angles 90.00, 90.00, 90.00 degrees
Fractional positions:
Cs (0.1291, 0.1342, 0.3374)
Cs (0.3709, 0.8658, 0.8374)
Cs (0.6291, 0.3658, 0.6626)
Cs (0.8709, 0.6342, 0.1626)
V (0.1129, 0.5733, 0.5423)
V (0.3871, 0.4267, 0.0423)
V (0.6129, 0.9267, 0.4577)
V (0.8871, 0.0733, 0.9577)
P (0.1578, 0.3698, 0.8462)
P (0.3422, 0.6302, 0.3462)
P (0.6578, 0.1302, 0.1538)
P (0.8422, 0.8698, 0.6538)
O (0.0128, 0.7619, 0.6555)
O (0.0511, 0.9606, 0.0209)
O (0.1590, 0.5099, 0.9601)
O (0.1773, 0.7388, 0.3918)
O (0.1908, 0.4498, 0.7071)
O (0.3092, 0.5502, 0.2071)
O (0.3227, 0.2612, 0.8918)
O (0.3410, 0.4901, 0.4601)
O (0.4489, 0.0394, 0.5209)
O (0.4872, 0.2381, 0.1555)
O (0.5128, 0.7381, 0.3445)
O (0.5511, 0.5394, 0.9791)
O (0.6590, 0.9901, 0.0399)
O (0.6773, 0.7612, 0.6082)
O (0.6908, 0.0502, 0.2929)
O (0.8092, 0.9498, 0.7929)
O (0.8227, 0.2388, 0.1082)
O (0.8410, 0.0099, 0.5399)
O (0.9489, 0.4606, 0.4791)
O (0.9872, 0.2619, 0.8445)